(1)
Starting from the GGA-PBE geometry in Alexandria, the powder diffractogram of Mg5Si6 was simulated for Cu Kα (λ = 1.5418 Å).
Neutral-atom scattering factors, no anomalous dispersion.

Most intense lines, 2θ from 5° to 70°, by angle:
hkl	2theta	intensity
7 1 -1	32.1	211
7 1 1	34.2	1000
9 1 0	34.7	574
1 1 -2	34.8	691
5 1 -2	36.8	475
3 1 2	36.9	571
10 0 -2	38.2	293
7 1 -2	39.2	331
5 1 2	39.4	345
11 1 0	39.7	245
14 0 0	42.2	254
0 2 0	44.1	907

Atomic structure:
abc: 30.174 4.106 6.628
angles: 90.00 96.64 90.00
Space group Cm (No. 8)
Asymmetric unit:
Mg1 0.000 0.000 0.000 (multiplicity 2)
Mg2 0.023 0.000 0.555 (multiplicity 2)
Mg3 0.077 0.500 0.891 (multiplicity 2)
Mg4 0.162 0.500 0.298 (multiplicity 2)
Mg5 0.192 0.500 0.810 (multiplicity 2)
Mg6 0.231 0.000 0.156 (multiplicity 2)
Mg7 0.276 0.500 0.466 (multiplicity 2)
Mg8 0.339 0.000 0.204 (multiplicity 2)
Mg9 0.369 0.500 0.897 (multiplicity 2)
Mg10 0.441 0.000 0.652 (multiplicity 2)
Si1 0.084 0.500 0.464 (multiplicity 2)
Si2 0.086 0.000 0.209 (multiplicity 2)
Si3 0.127 0.000 0.615 (multiplicity 2)
Si4 0.145 0.000 0.995 (multiplicity 2)
Si5 0.208 0.000 0.539 (multiplicity 2)
Si6 0.273 0.000 0.794 (multiplicity 2)
Si7 0.282 0.500 0.013 (multiplicity 2)
Si8 0.341 0.000 0.607 (multiplicity 2)
Si9 0.374 0.500 0.497 (multiplicity 2)
Si10 0.423 0.000 0.050 (multiplicity 2)
Si11 0.434 0.500 0.279 (multiplicity 2)
Si12 0.490 0.000 0.303 (multiplicity 2)

---

(2)
Starting from the GGA-PBE geometry in Alexandria, the powder diffractogram of Mg5Si6 was simulated for Cu Kα (λ = 1.5418 Å).
Neutral-atom scattering factors, no anomalous dispersion.

Most intense lines, 2θ from 5° to 70°, by angle:
hkl	2theta	intensity
5 1 0	20.6	243
2 2 -1	33.8	306
2 2 1	34.1	328
4 2 -1	35.6	690
4 2 1	36.0	622
9 1 -1	37.7	658
10 0 -1	38.0	443
9 1 1	38.6	495
10 0 1	39.0	502
3 3 0	40.7	313
0 0 2	41.6	1000
5 3 0	42.8	228

Atomic structure:
abc: 27.761 6.857 4.341
angles: 90.00 91.48 90.00
Space group C2 (No. 5)
Asymmetric unit:
Mg1 0.046 0.000 0.265 (multiplicity 4)
Mg2 0.079 0.497 0.255 (multiplicity 4)
Mg3 0.120 0.189 0.755 (multiplicity 4)
Mg4 0.162 0.860 0.283 (multiplicity 4)
Mg5 0.188 0.360 0.243 (multiplicity 4)
Si1 0.019 0.661 0.752 (multiplicity 4)
Si2 0.024 0.299 0.755 (multiplicity 4)
Si3 0.096 0.816 0.783 (multiplicity 4)
Si4 0.154 0.560 0.736 (multiplicity 4)
Si5 0.223 0.136 0.743 (multiplicity 4)
Si6 0.243 0.503 0.751 (multiplicity 4)

---

(3)
Starting from the GGA-PBE geometry in Alexandria, the powder diffractogram of Mg4Si3 was simulated for Cu Kα (λ = 1.5418 Å).
Neutral-atom scattering factors, no anomalous dispersion.

Most intense lines, 2θ from 5° to 70°, by angle:
hkl	2theta	intensity
0 0 1	14.0	418
0 2 -2	35.1	1000
1 -2 1	36.5	298
1 2 2	36.9	467
2 -1 1	37.4	371
2 0 3	38.1	391
2 2 -1	38.8	359
2 3 0	39.9	424
1 3 -1	40.2	257
0 1 -3	41.7	284
0 0 3	42.8	284
0 3 0	43.7	242

Atomic structure:
abc: 7.011 7.110 7.409
angles: 89.49 61.86 64.38
Space group P1 (No. 1)
Asymmetric unit:
Mg1 0.000 0.000 0.000 (multiplicity 1)
Mg2 0.023 0.273 0.293 (multiplicity 1)
Mg3 0.257 0.719 0.240 (multiplicity 1)
Mg4 0.316 0.214 0.706 (multiplicity 1)
Mg5 0.472 0.613 0.674 (multiplicity 1)
Mg6 0.518 0.261 0.979 (multiplicity 1)
Mg7 0.572 0.915 0.250 (multiplicity 1)
Mg8 0.942 0.698 0.719 (multiplicity 1)
Si1 0.066 0.589 0.048 (multiplicity 1)
Si2 0.146 0.960 0.583 (multiplicity 1)
Si3 0.436 0.938 0.941 (multiplicity 1)
Si4 0.559 0.323 0.334 (multiplicity 1)
Si5 0.773 0.478 0.065 (multiplicity 1)
Si6 0.874 0.344 0.711 (multiplicity 1)

---

(4)
Starting from the GGA-PBE geometry in Alexandria, the powder diffractogram of Mg4Si7 was simulated for Cu Kα (λ = 1.5418 Å).
Neutral-atom scattering factors, no anomalous dispersion.

Most intense lines, 2θ from 5° to 70°, by angle:
hkl	2theta	intensity
1 0 0	12.8	186
1 1 3	33.7	963
1 1 -4	34.6	201
2 1 0	34.9	194
2 1 -2	35.4	252
2 1 -3	37.3	302
0 1 5	38.7	1000
1 1 -5	39.0	448
3 0 -3	40.1	383
0 2 0	47.2	612
3 1 2	49.6	251
3 2 -3	63.7	221

Atomic structure:
abc: 7.027 3.849 14.878
angles: 90.00 100.56 90.00
Space group Pm (No. 6)
Asymmetric unit:
Mg1 0.000 0.000 0.000 (multiplicity 1)
Mg2 0.012 0.000 0.655 (multiplicity 1)
Mg3 0.095 0.500 0.838 (multiplicity 1)
Mg4 0.137 0.500 0.498 (multiplicity 1)
Mg5 0.174 0.500 0.169 (multiplicity 1)
Mg6 0.241 0.000 0.341 (multiplicity 1)
Mg7 0.482 0.000 0.572 (multiplicity 1)
Mg8 0.797 0.000 0.415 (multiplicity 1)
Si1 0.325 0.500 0.693 (multiplicity 1)
Si2 0.342 0.000 0.942 (multiplicity 1)
Si3 0.405 0.500 0.040 (multiplicity 1)
Si4 0.427 0.000 0.795 (multiplicity 1)
Si5 0.487 0.500 0.438 (multiplicity 1)
Si6 0.494 0.000 0.192 (multiplicity 1)
Si7 0.579 0.500 0.291 (multiplicity 1)
Si8 0.695 0.500 0.694 (multiplicity 1)
Si9 0.746 0.500 0.907 (multiplicity 1)
Si10 0.757 0.500 0.067 (multiplicity 1)
Si11 0.776 0.000 0.803 (multiplicity 1)
Si12 0.782 0.500 0.548 (multiplicity 1)
Si13 0.856 0.000 0.175 (multiplicity 1)
Si14 0.940 0.500 0.304 (multiplicity 1)

---

(5)
Starting from the GGA-PBE geometry in Alexandria, the powder diffractogram of Mg4Si7 was simulated for Cu Kα (λ = 1.5418 Å).
Neutral-atom scattering factors, no anomalous dispersion.

Most intense lines, 2θ from 5° to 70°, by angle:
hkl	2theta	intensity
1 1 -1	25.8	525
1 1 2	31.6	306
1 2 -1	31.9	433
-1 2 1	32.6	859
1 0 -4	33.0	470
0 1 -5	33.3	380
1 1 -4	33.7	411
0 3 1	34.6	289
0 2 4	37.0	324
1 2 2	37.8	668
1 3 -2	40.7	406
2 0 -1	47.7	1000

Atomic structure:
abc: 3.810 8.278 13.811
angles: 98.75 97.77 90.08
Space group P1 (No. 1)
Asymmetric unit:
Mg1 0.000 0.000 0.000 (multiplicity 1)
Mg2 0.031 0.471 0.062 (multiplicity 1)
Mg3 0.090 0.807 0.181 (multiplicity 1)
Mg4 0.169 0.442 0.340 (multiplicity 1)
Mg5 0.592 0.211 0.183 (multiplicity 1)
Mg6 0.726 0.208 0.454 (multiplicity 1)
Mg7 0.869 0.548 0.743 (multiplicity 1)
Mg8 0.919 0.242 0.835 (multiplicity 1)
Si1 0.149 0.106 0.296 (multiplicity 1)
Si2 0.203 0.919 0.410 (multiplicity 1)
Si3 0.267 0.459 0.546 (multiplicity 1)
Si4 0.288 0.026 0.583 (multiplicity 1)
Si5 0.337 0.295 0.676 (multiplicity 1)
Si6 0.419 0.776 0.853 (multiplicity 1)
Si7 0.453 0.496 0.908 (multiplicity 1)
Si8 0.495 0.238 0.990 (multiplicity 1)
Si9 0.512 0.746 0.027 (multiplicity 1)
Si10 0.613 0.563 0.224 (multiplicity 1)
Si11 0.689 0.740 0.380 (multiplicity 1)
Si12 0.760 0.626 0.531 (multiplicity 1)
Si13 0.809 0.886 0.628 (multiplicity 1)
Si14 0.892 0.906 0.798 (multiplicity 1)

---

(6)
Starting from the GGA-PBE geometry in Alexandria, the powder diffractogram of Mg2Si3 was simulated for Cu Kα (λ = 1.5418 Å).
Neutral-atom scattering factors, no anomalous dispersion.

Most intense lines, 2θ from 5° to 70°, by angle:
hkl	2theta	intensity
1 1 0	34.4	279
-1 2 1	34.8	438
0 0 3	35.0	397
1 1 -2	35.2	458
1 -2 1	35.3	467
1 0 2	37.4	385
-1 1 3	37.8	362
-2 1 1	39.2	1000
0 2 1	39.9	441
1 1 -3	41.2	324
0 1 3	42.4	221
2 1 0	56.8	191

Atomic structure:
abc: 4.594 5.558 8.133
angles: 92.74 105.86 113.88
Space group P-1 (No. 2)
Asymmetric unit:
Mg1 0.136 0.287 0.480 (multiplicity 2)
Mg2 0.250 0.125 0.871 (multiplicity 2)
Si1 0.059 0.472 0.154 (multiplicity 2)
Si2 0.372 0.916 0.340 (multiplicity 2)
Si3 0.486 0.684 0.780 (multiplicity 2)

---

(7)
Starting from the GGA-PBE geometry in Alexandria, the powder diffractogram of Mg4Si7 was simulated for Cu Kα (λ = 1.5418 Å).
Neutral-atom scattering factors, no anomalous dispersion.

Most intense lines, 2θ from 5° to 70°, by angle:
hkl	2theta	intensity
1 0 -1	23.7	231
1 1 -3	33.6	1000
-1 2 2	35.0	256
1 2 -1	36.0	372
0 2 5	36.2	216
1 2 3	36.8	621
1 0 -5	38.6	244
1 1 5	38.8	566
0 3 3	39.6	323
1 0 6	44.0	203
2 0 0	46.8	671
1 3 -2	49.2	217

Atomic structure:
abc: 3.886 7.121 14.837
angles: 78.92 89.92 89.96
Space group P1 (No. 1)
Asymmetric unit:
Mg1 0.000 0.000 0.000 (multiplicity 1)
Mg2 0.001 0.443 0.094 (multiplicity 1)
Mg3 0.497 0.093 0.175 (multiplicity 1)
Mg4 0.498 0.572 0.588 (multiplicity 1)
Mg5 0.499 0.156 0.505 (multiplicity 1)
Mg6 0.995 0.483 0.759 (multiplicity 1)
Mg7 0.998 0.212 0.324 (multiplicity 1)
Mg8 0.998 0.756 0.242 (multiplicity 1)
Si1 0.000 0.062 0.800 (multiplicity 1)
Si2 0.007 0.734 0.869 (multiplicity 1)
Si3 0.498 0.809 0.714 (multiplicity 1)
Si4 0.499 0.222 0.848 (multiplicity 1)
Si5 0.499 0.457 0.222 (multiplicity 1)
Si6 0.499 0.549 0.367 (multiplicity 1)
Si7 0.499 0.904 0.367 (multiplicity 1)
Si8 0.500 0.752 0.107 (multiplicity 1)
Si9 0.501 0.291 0.998 (multiplicity 1)
Si10 0.506 0.639 0.963 (multiplicity 1)
Si11 0.999 0.286 0.618 (multiplicity 1)
Si12 0.999 0.463 0.460 (multiplicity 1)
Si13 0.999 0.839 0.473 (multiplicity 1)
Si14 0.999 0.944 0.625 (multiplicity 1)

---

(8)
Starting from the GGA-PBE geometry in Alexandria, the powder diffractogram of Mg4Si3 was simulated for Cu Kα (λ = 1.5418 Å).
Neutral-atom scattering factors, no anomalous dispersion.

Most intense lines, 2θ from 5° to 70°, by angle:
hkl	2theta	intensity
1 -2 0	33.4	185
-1 1 2	33.9	254
-1 2 1	34.9	933
0 2 -2	35.8	1000
1 3 1	38.7	910
1 1 3	39.0	908
2 1 0	39.2	728
2 0 1	40.3	392
1 0 -3	41.8	503
2 2 -1	46.2	225
2 -1 2	48.9	321
2 3 -2	59.0	197

Atomic structure:
abc: 4.666 7.559 7.708
angles: 82.46 85.02 80.39
Space group P-1 (No. 2)
Asymmetric unit:
Mg1 0.039 0.027 0.297 (multiplicity 2)
Mg2 0.179 0.728 0.061 (multiplicity 2)
Mg3 0.287 0.505 0.766 (multiplicity 2)
Mg4 0.425 0.216 0.493 (multiplicity 2)
Si1 0.138 0.610 0.420 (multiplicity 2)
Si2 0.286 0.312 0.121 (multiplicity 2)
Si3 0.380 0.088 0.875 (multiplicity 2)

---

Repeat the first record exactly.
Starting from the GGA-PBE geometry in Alexandria, the powder diffractogram of Mg5Si6 was simulated for Cu Kα (λ = 1.5418 Å).
Neutral-atom scattering factors, no anomalous dispersion.

Most intense lines, 2θ from 5° to 70°, by angle:
hkl	2theta	intensity
7 1 -1	32.1	211
7 1 1	34.2	1000
9 1 0	34.7	574
1 1 -2	34.8	691
5 1 -2	36.8	475
3 1 2	36.9	571
10 0 -2	38.2	293
7 1 -2	39.2	331
5 1 2	39.4	345
11 1 0	39.7	245
14 0 0	42.2	254
0 2 0	44.1	907

Atomic structure:
abc: 30.174 4.106 6.628
angles: 90.00 96.64 90.00
Space group Cm (No. 8)
Asymmetric unit:
Mg1 0.000 0.000 0.000 (multiplicity 2)
Mg2 0.023 0.000 0.555 (multiplicity 2)
Mg3 0.077 0.500 0.891 (multiplicity 2)
Mg4 0.162 0.500 0.298 (multiplicity 2)
Mg5 0.192 0.500 0.810 (multiplicity 2)
Mg6 0.231 0.000 0.156 (multiplicity 2)
Mg7 0.276 0.500 0.466 (multiplicity 2)
Mg8 0.339 0.000 0.204 (multiplicity 2)
Mg9 0.369 0.500 0.897 (multiplicity 2)
Mg10 0.441 0.000 0.652 (multiplicity 2)
Si1 0.084 0.500 0.464 (multiplicity 2)
Si2 0.086 0.000 0.209 (multiplicity 2)
Si3 0.127 0.000 0.615 (multiplicity 2)
Si4 0.145 0.000 0.995 (multiplicity 2)
Si5 0.208 0.000 0.539 (multiplicity 2)
Si6 0.273 0.000 0.794 (multiplicity 2)
Si7 0.282 0.500 0.013 (multiplicity 2)
Si8 0.341 0.000 0.607 (multiplicity 2)
Si9 0.374 0.500 0.497 (multiplicity 2)
Si10 0.423 0.000 0.050 (multiplicity 2)
Si11 0.434 0.500 0.279 (multiplicity 2)
Si12 0.490 0.000 0.303 (multiplicity 2)